Diffraction record for HoGa5Pt7. The PXRD pattern is calculated, not measured: it uses the PBE geometry in Alexandria and Cu Ka.

The 10 most intense peaks (2θ = 10–90°), in order of rising 2θ:
| 2θ/deg | d (Å) | I_rel |
| --- | --- | --- |
| 28.4 | 3.145 | 33 |
| 33.3 | 2.691 | 80 |
| 34.1 | 2.632 | 84 |
| 35.0 | 2.565 | 54 |
| 39.3 | 2.292 | 36 |
| 39.8 | 2.263 | 32 |
| 40.0 | 2.255 | 94 |
| 40.4 | 2.231 | 70 |
| 41.3 | 2.188 | 40 |
| 44.3 | 2.045 | 100 |

Crystal structure
```
HoGa5Pt7
1.0
-2.6912 4.5252 4.3753
2.6912 -4.5252 4.3753
2.6912 4.5252 -4.3753
Ho Ga Pt
1 5 7
direct
0.0000 0.0000 0.0000
0.4778 0.4910 0.4959
0.4778 0.9819 0.9868
0.7657 0.2657 0.5000
0.9951 0.4910 0.0132
0.9951 0.9819 0.5041
0.1782 0.4741 0.7041
0.2188 0.7188 0.5000
0.3376 0.3376 0.0000
0.3422 0.0050 0.3372
0.6678 0.0050 0.6628
0.6706 0.6706 0.0000
0.7700 0.4741 0.2959
```



Diffraction record for Ho2GaPt5. The PXRD pattern is calculated, not measured: it uses the PBE geometry in Alexandria and Cu Ka.

The 10 most intense peaks (2θ = 10–90°), in order of rising 2θ:
| 2θ/deg | d (Å) | I_rel |
| --- | --- | --- |
| 37.7 | 2.386 | 100 |
| 38.5 | 2.336 | 15 |
| 38.7 | 2.327 | 7 |
| 43.4 | 2.085 | 20 |
| 44.0 | 2.057 | 27 |
| 63.5 | 1.464 | 18 |
| 64.0 | 1.455 | 6 |
| 75.9 | 1.254 | 13 |
| 76.7 | 1.242 | 12 |
| 80.5 | 1.193 | 7 |

Crystal structure
```
Ho2GaPt5
1.0
5.8142 0.0000 0.0000
0.0000 11.6438 0.0000
0.0000 0.0000 4.1693
Ho Ga Pt
4 2 10
direct
0.2015 0.1377 0.0000
0.2985 0.6377 0.0000
0.7015 0.3623 0.0000
0.7985 0.8623 0.0000
0.0000 0.5000 0.5000
0.5000 0.0000 0.5000
0.0000 0.0000 0.5000
0.0463 0.7481 0.5000
0.2028 0.3902 0.0000
0.2972 0.8902 0.0000
0.4537 0.2481 0.5000
0.5000 0.5000 0.5000
0.5463 0.7519 0.5000
0.7028 0.1098 0.0000
0.7972 0.6098 0.0000
0.9537 0.2519 0.5000
```



Diffraction record for HoScGaPt. The PXRD pattern is calculated, not measured: it uses the PBE geometry in Alexandria and Cu Ka.

The 10 most intense peaks (2θ = 10–90°), in order of rising 2θ:
| 2θ/deg | d (Å) | I_rel |
| --- | --- | --- |
| 20.2 | 4.386 | 54 |
| 26.1 | 3.411 | 38 |
| 33.3 | 2.692 | 100 |
| 33.9 | 2.646 | 30 |
| 35.6 | 2.521 | 35 |
| 39.8 | 2.266 | 53 |
| 41.2 | 2.193 | 37 |
| 41.3 | 2.185 | 84 |
| 50.7 | 1.801 | 20 |
| 66.3 | 1.410 | 24 |

Crystal structure
```
HoScGaPt
1.0
4.3856 0.0000 0.0000
0.0000 3.6028 0.0000
0.0000 0.0000 10.5847
Ho Sc Ga Pt
2 2 2 2
direct
0.0000 0.0000 0.0000
0.0000 0.5000 0.5000
0.5000 0.0000 0.2881
0.5000 0.5000 0.7881
0.5000 0.0000 0.5734
0.5000 0.5000 0.0734
0.0000 0.0000 0.7275
0.0000 0.5000 0.2275
```



Diffraction record for TbHoGaPt. The PXRD pattern is calculated, not measured: it uses the PBE geometry in Alexandria and Cu Ka.

The 10 most intense peaks (2θ = 10–90°), in order of rising 2θ:
| 2θ/deg | d (Å) | I_rel |
| --- | --- | --- |
| 32.2 | 2.782 | 100 |
| 32.8 | 2.729 | 26 |
| 34.2 | 2.619 | 33 |
| 38.7 | 2.326 | 30 |
| 40.0 | 2.257 | 62 |
| 40.6 | 2.223 | 31 |
| 48.2 | 1.887 | 22 |
| 54.1 | 1.695 | 18 |
| 64.7 | 1.441 | 17 |
| 79.2 | 1.209 | 17 |

Crystal structure
```
TbHoGaPt
1.0
4.4462 0.0000 0.0000
0.0000 3.7733 0.0000
0.0000 0.0000 10.9143
Tb Ho Ga Pt
2 2 2 2
direct
0.0000 0.0000 0.0000
0.0000 0.5000 0.5000
0.5000 0.0000 0.7164
0.5000 0.5000 0.2164
0.0000 0.0000 0.2798
0.0000 0.5000 0.7798
0.5000 0.0000 0.4345
0.5000 0.5000 0.9345
```



Diffraction record for HoZnGa2Pt2. The PXRD pattern is calculated, not measured: it uses the PBE geometry in Alexandria and Cu Ka.

The 10 most intense peaks (2θ = 10–90°), in order of rising 2θ:
| 2θ/deg | d (Å) | I_rel |
| --- | --- | --- |
| 27.3 | 3.264 | 58 |
| 36.7 | 2.451 | 100 |
| 41.3 | 2.187 | 92 |
| 50.2 | 1.817 | 12 |
| 50.5 | 1.808 | 11 |
| 56.4 | 1.632 | 29 |
| 60.5 | 1.531 | 18 |
| 72.2 | 1.308 | 27 |
| 73.1 | 1.295 | 19 |
| 75.2 | 1.263 | 16 |

Crystal structure
```
HoZnGa2Pt2
1.0
4.3748 0.0000 0.0000
-2.1874 3.7887 0.0000
0.0000 0.0000 6.4291
Ho Zn Ga Pt
1 1 2 2
direct
0.0000 0.0000 0.0000
0.0000 0.0000 0.5000
0.3333 0.6667 0.2905
0.6667 0.3333 0.7095
0.3333 0.6667 0.7166
0.6667 0.3333 0.2834
```



Diffraction record for HoPuGa. The PXRD pattern is calculated, not measured: it uses the PBE geometry in Alexandria and Cu Ka.

The 10 most intense peaks (2θ = 10–90°), in order of rising 2θ:
| 2θ/deg | d (Å) | I_rel |
| --- | --- | --- |
| 26.0 | 3.422 | 30 |
| 30.4 | 2.941 | 12 |
| 33.9 | 2.643 | 100 |
| 35.5 | 2.529 | 50 |
| 47.4 | 1.918 | 15 |
| 51.1 | 1.788 | 18 |
| 59.7 | 1.550 | 14 |
| 60.9 | 1.521 | 10 |
| 62.7 | 1.481 | 35 |
| 71.4 | 1.322 | 10 |

Crystal structure
```
HoPuGa
1.0
3.5769 0.0000 0.0000
0.0000 3.5769 0.0000
0.0000 0.0000 11.7630
Ho Pu Ga
2 2 2
direct
0.0000 0.0000 0.0000
0.5000 0.5000 0.5000
0.0000 0.0000 0.2941
0.5000 0.5000 0.7941
0.0000 0.0000 0.6435
0.5000 0.5000 0.1435
```



Diffraction record for HoPu2Ga6. The PXRD pattern is calculated, not measured: it uses the PBE geometry in Alexandria and Cu Ka.

The 10 most intense peaks (2θ = 10–90°), in order of rising 2θ:
| 2θ/deg | d (Å) | I_rel |
| --- | --- | --- |
| 22.8 | 3.907 | 32 |
| 34.6 | 2.594 | 100 |
| 40.0 | 2.256 | 53 |
| 52.8 | 1.735 | 8 |
| 53.9 | 1.702 | 29 |
| 68.2 | 1.375 | 22 |
| 69.1 | 1.359 | 27 |
| 72.6 | 1.302 | 9 |
| 86.2 | 1.128 | 6 |
| 88.1 | 1.109 | 7 |

Crystal structure
```
HoPu2Ga6
1.0
7.8141 0.0000 0.0000
-3.9071 6.7672 0.0000
0.0000 0.0000 3.4699
Ho Pu Ga
1 2 6
direct
0.0000 0.0000 0.0000
0.3333 0.6667 0.0000
0.6667 0.3333 0.0000
0.0000 0.3317 0.5000
0.0000 0.6683 0.5000
0.3317 0.0000 0.5000
0.3317 0.3317 0.5000
0.6683 0.0000 0.5000
0.6683 0.6683 0.5000
```



Diffraction record for HoPu3Ga8. The PXRD pattern is calculated, not measured: it uses the PBE geometry in Alexandria and Cu Ka.

The 10 most intense peaks (2θ = 10–90°), in order of rising 2θ:
| 2θ/deg | d (Å) | I_rel |
| --- | --- | --- |
| 19.5 | 4.557 | 69 |
| 32.4 | 2.763 | 100 |
| 35.4 | 2.534 | 90 |
| 37.2 | 2.416 | 65 |
| 37.7 | 2.385 | 45 |
| 38.1 | 2.362 | 85 |
| 39.6 | 2.279 | 32 |
| 40.6 | 2.221 | 41 |
| 59.8 | 1.547 | 39 |
| 67.8 | 1.381 | 34 |

Crystal structure
```
HoPu3Ga8
1.0
2.7628 1.5951 9.9552
-2.7628 1.5951 9.9552
0.0000 -3.1902 9.9552
Ho Pu Ga
1 3 8
direct
0.0000 0.0000 0.0000
0.1910 0.1910 0.1910
0.7094 0.7094 0.7094
0.7984 0.7984 0.7984
0.2589 0.2589 0.7668
0.2589 0.7668 0.2589
0.3543 0.3543 0.3543
0.4506 0.4506 0.9379
0.4506 0.9379 0.4506
0.7668 0.2589 0.2589
0.8983 0.8983 0.8983
0.9379 0.4506 0.4506
```



Diffraction record for Ho2Ga12Rh. The PXRD pattern is calculated, not measured: it uses the PBE geometry in Alexandria and Cu Ka.

The 10 most intense peaks (2θ = 10–90°), in order of rising 2θ:
| 2θ/deg | d (Å) | I_rel |
| --- | --- | --- |
| 31.1 | 2.874 | 76 |
| 31.8 | 2.814 | 100 |
| 37.7 | 2.384 | 48 |
| 40.7 | 2.215 | 32 |
| 41.7 | 2.166 | 37 |
| 42.3 | 2.135 | 75 |
| 46.2 | 1.966 | 18 |
| 53.5 | 1.714 | 38 |
| 69.0 | 1.362 | 25 |
| 77.0 | 1.239 | 20 |

Crystal structure
```
Ho2Ga12Rh
1.0
6.0385 0.0000 0.0000
0.0000 6.0385 0.0000
0.0000 0.0000 15.5440
Ho Ga Rh
4 24 2
direct
0.2500 0.7500 0.2402
0.2500 0.7500 0.7598
0.7500 0.2500 0.2402
0.7500 0.2500 0.7598
0.0000 0.0000 0.0887
0.0000 0.0000 0.9113
0.0000 0.5000 0.0887
0.0000 0.5000 0.9113
0.0841 0.5841 0.4312
0.0841 0.9159 0.5688
0.2500 0.2500 0.1911
0.2500 0.2500 0.3470
0.2500 0.2500 0.6530
0.2500 0.2500 0.8089
0.4159 0.5841 0.5688
0.4159 0.9159 0.4312
0.5000 0.0000 0.0887
0.5000 0.0000 0.9113
0.5000 0.5000 0.0887
0.5000 0.5000 0.9113
0.5841 0.0841 0.5688
0.5841 0.4159 0.4312
0.7500 0.7500 0.1911
0.7500 0.7500 0.3470
0.7500 0.7500 0.6530
0.7500 0.7500 0.8089
0.9159 0.0841 0.4312
0.9159 0.4159 0.5688
0.2500 0.7500 0.0000
0.7500 0.2500 0.0000
```



Diffraction record for Ho3Ga2Rh6. The PXRD pattern is calculated, not measured: it uses the PBE geometry in Alexandria and Cu Ka.

The 10 most intense peaks (2θ = 10–90°), in order of rising 2θ:
| 2θ/deg | d (Å) | I_rel |
| --- | --- | --- |
| 13.4 | 6.586 | 13 |
| 30.3 | 2.946 | 18 |
| 33.3 | 2.689 | 24 |
| 36.1 | 2.489 | 24 |
| 38.7 | 2.329 | 11 |
| 41.1 | 2.195 | 100 |
| 61.4 | 1.511 | 12 |
| 66.6 | 1.404 | 12 |
| 74.9 | 1.268 | 27 |
| 84.5 | 1.147 | 12 |

Crystal structure
```
Ho3Ga2Rh6
1.0
-4.6573 4.6573 4.6573
4.6573 -4.6573 4.6573
4.6573 4.6573 -4.6573
Ho Ga Rh
6 4 12
direct
0.0000 0.2923 0.2923
0.0000 0.7077 0.7077
0.2923 0.0000 0.2923
0.2923 0.2923 0.0000
0.7077 0.0000 0.7077
0.7077 0.7077 0.0000
0.0000 0.0000 0.5000
0.0000 0.5000 0.0000
0.5000 0.0000 0.0000
0.5000 0.5000 0.5000
0.0000 0.3437 0.6563
0.0000 0.6563 0.3437
0.3127 0.6563 0.6563
0.3437 0.0000 0.6563
0.3437 0.3437 0.6873
0.3437 0.6563 0.0000
0.3437 0.6873 0.3437
0.6563 0.0000 0.3437
0.6563 0.3127 0.6563
0.6563 0.3437 0.0000
0.6563 0.6563 0.3127
0.6873 0.3437 0.3437
```



Diffraction record for Ho3Ga8Rh4. The PXRD pattern is calculated, not measured: it uses the PBE geometry in Alexandria and Cu Ka.

The 10 most intense peaks (2θ = 10–90°), in order of rising 2θ:
| 2θ/deg | d (Å) | I_rel |
| --- | --- | --- |
| 28.0 | 3.186 | 15 |
| 31.4 | 2.849 | 10 |
| 34.5 | 2.601 | 11 |
| 36.6 | 2.452 | 40 |
| 40.0 | 2.253 | 100 |
| 42.6 | 2.124 | 9 |
| 55.4 | 1.659 | 9 |
| 57.9 | 1.593 | 10 |
| 72.7 | 1.301 | 18 |
| 77.5 | 1.232 | 10 |

Crystal structure
```
Ho3Ga8Rh4
1.0
0.0000 6.3716 6.3716
6.3716 0.0000 6.3716
6.3716 6.3716 0.0000
Ho Ga Rh
6 16 8
direct
0.2153 0.2153 0.7847
0.2153 0.7847 0.2153
0.2153 0.7847 0.7847
0.7847 0.2153 0.2153
0.7847 0.2153 0.7847
0.7847 0.7847 0.2153
0.1307 0.6231 0.6231
0.1647 0.1647 0.1647
0.1647 0.1647 0.5059
0.1647 0.5059 0.1647
0.3769 0.3769 0.3769
0.3769 0.3769 0.8693
0.3769 0.8693 0.3769
0.4941 0.8353 0.8353
0.5059 0.1647 0.1647
0.6231 0.1307 0.6231
0.6231 0.6231 0.1307
0.6231 0.6231 0.6231
0.8353 0.4941 0.8353
0.8353 0.8353 0.4941
0.8353 0.8353 0.8353
0.8693 0.3769 0.3769
0.0000 0.0000 0.0000
0.0000 0.0000 0.5000
0.0000 0.5000 0.0000
0.0000 0.5000 0.5000
0.5000 0.0000 0.0000
0.5000 0.0000 0.5000
0.5000 0.5000 0.0000
0.5000 0.5000 0.5000
```



Diffraction record for Ho8GaRh2. The PXRD pattern is calculated, not measured: it uses the PBE geometry in Alexandria and Cu Ka.

The 10 most intense peaks (2θ = 10–90°), in order of rising 2θ:
| 2θ/deg | d (Å) | I_rel |
| --- | --- | --- |
| 30.4 | 2.939 | 39 |
| 31.0 | 2.887 | 69 |
| 32.2 | 2.780 | 100 |
| 33.3 | 2.691 | 75 |
| 33.6 | 2.667 | 53 |
| 35.0 | 2.562 | 74 |
| 38.7 | 2.329 | 48 |
| 38.8 | 2.322 | 33 |
| 54.0 | 1.699 | 33 |
| 56.4 | 1.632 | 31 |

Crystal structure
```
Ho8GaRh2
1.0
4.2662 -6.5502 0.0000
4.2662 6.5502 0.0000
-1.4565 0.0000 5.2589
Ho Ga Rh
8 1 2
direct
0.0000 0.0000 0.0000
0.0479 0.3033 0.6049
0.1409 0.6146 0.1900
0.3033 0.0479 0.6049
0.4546 0.7096 0.7701
0.6146 0.1409 0.1900
0.7096 0.4546 0.7701
0.7607 0.7607 0.3816
0.3786 0.3786 0.2139
0.0742 0.6838 0.6905
0.6838 0.0742 0.6905
```